1.
Starting from DFT lattice parameters and positions (PBE+U), the powder diffraction line list of CaSmMn2O6 was calculated for Cu Kα.
Neutral-atom scattering factors, no anomalous dispersion.

Structure:
```
data_CaSmMn2O6
_chemical_formula_sum 'Ca2 Sm2 Mn4 O12'
_space_group_name_H-M_alt 'P m n 21'
_space_group_IT_number 31
_cell_length_a 7.630
_cell_length_b 5.552
_cell_length_c 5.415
_cell_angle_alpha 90.00
_cell_angle_beta 90.00
_cell_angle_gamma 90.00
loop_
_space_group_symop_operation_xyz
'x,y,z'
'-x+1/2,-y,z+1/2'
'-x,y,z'
'x+1/2,-y,z+1/2'
loop_
_atom_site_label
_atom_site_fract_x
_atom_site_fract_y
_atom_site_fract_z
Ca1 0.000 0.203 0.000
Sm1 0.000 0.696 0.477
Mn1 0.250 0.247 0.491
O1 0.000 0.274 0.574
O2 0.000 0.773 0.904
O3 0.205 0.461 0.202
O4 0.206 0.956 0.286
```

Largest 12 diffraction maxima, sorted by position, 5° ≤ 2θ ≤ 70°:
h k l	d/Å	2θ (°)	I/Imax
1 1 0	4.490	19.77	26
1 0 1	4.416	20.11	29
0 2 0	2.776	32.24	22
2 1 1	2.719	32.94	100
0 0 2	2.707	33.09	25
1 1 2	2.318	38.84	12
0 2 2	1.938	46.87	27
4 0 0	1.908	47.67	16
2 3 1	1.592	57.94	11
2 1 3	1.565	59.01	23
4 0 2	1.559	59.26	11
4 2 2	1.360	69.09	13

=====

2.
Starting from DFT lattice parameters and positions (PBE+U), the powder diffraction line list of CaSm4Ti2Mn2O12 was calculated for Cu Kα.
Neutral-atom scattering factors, no anomalous dispersion.

Structure:
```
data_CaSm4Ti2Mn2O12
_chemical_formula_sum 'Ca1 Sm4 Ti2 Mn2 O12'
_space_group_name_H-M_alt 'P 1'
_space_group_IT_number 1
_cell_length_a 5.915
_cell_length_b 6.240
_cell_length_c 7.649
_cell_angle_alpha 89.65
_cell_angle_beta 87.08
_cell_angle_gamma 81.75
loop_
_space_group_symop_operation_xyz
'x,y,z'
loop_
_atom_site_label
_atom_site_fract_x
_atom_site_fract_y
_atom_site_fract_z
Ca1 0.000 0.000 0.000
Sm1 0.171 0.138 0.586
Sm2 0.262 0.338 0.146
Sm3 0.573 0.778 0.096
Sm4 0.593 0.627 0.597
Ti1 0.076 0.724 0.359
Ti2 0.601 0.199 0.831
Mn1 0.065 0.598 0.812
Mn2 0.727 0.196 0.360
O1 0.204 0.998 0.265
O2 0.206 0.764 0.596
O3 0.326 0.073 0.881
O4 0.421 0.564 0.304
O5 0.427 0.517 0.895
O6 0.509 0.264 0.579
O7 0.648 0.149 0.106
O8 0.759 0.854 0.391
O9 0.764 0.851 0.809
O10 0.897 0.320 0.787
O11 0.969 0.411 0.413
O12 0.996 0.655 0.095
```

Largest 12 diffraction maxima, sorted by position, 5° ≤ 2θ ≤ 70°:
h k l	d/Å	2θ (°)	I/Imax
1 -1 0	3.971	22.39	55
1 1 -1	3.867	23.00	39
0 0 2	3.819	23.29	51
0 2 0	3.088	28.92	38
2 0 0	2.923	30.58	49
1 1 -2	2.881	31.05	79
0 2 1	2.862	31.25	87
1 -1 2	2.802	31.94	100
-1 1 2	2.706	33.11	57
1 1 3	2.265	39.80	50
0 0 4	1.910	47.61	37
3 2 -1	1.703	53.84	38

=====

3.
Starting from DFT lattice parameters and positions (PBE+U), the powder diffraction line list of Ca2SmYMn4O12 was calculated for Cu Kα.
Neutral-atom scattering factors, no anomalous dispersion.

Structure:
```
data_Ca2SmYMn4O12
_chemical_formula_sum 'Ca2 Sm1 Y1 Mn4 O12'
_space_group_name_H-M_alt 'P 1 m 1'
_space_group_IT_number 6
_cell_length_a 5.407
_cell_length_b 7.616
_cell_length_c 5.542
_cell_angle_alpha 90.00
_cell_angle_beta 90.18
_cell_angle_gamma 90.00
loop_
_space_group_symop_operation_xyz
'x,y,z'
'x,-y,z'
loop_
_atom_site_label
_atom_site_fract_x
_atom_site_fract_y
_atom_site_fract_z
Ca1 0.000 0.000 0.000
Ca2 0.500 0.500 0.407
Sm1 0.974 0.500 0.900
Y1 0.472 0.000 0.510
Mn1 0.489 0.249 0.956
Mn2 0.988 0.249 0.450
O1 0.074 0.500 0.478
O2 0.203 0.201 0.738
O3 0.285 0.199 0.249
O4 0.398 0.500 0.977
O5 0.576 0.000 0.919
O6 0.702 0.296 0.666
O7 0.783 0.296 0.160
O8 0.887 0.000 0.429
```

Largest 12 diffraction maxima, sorted by position, 5° ≤ 2θ ≤ 70°:
h k l	d/Å	2θ (°)	I/Imax
0 1 1	4.481	19.81	17
1 1 0	4.409	20.14	20
1 1 1	3.450	25.82	12
0 0 2	2.771	32.30	22
1 2 -1	2.714	33.00	100
2 0 0	2.703	33.14	24
2 0 -2	1.938	46.88	15
2 0 2	1.932	47.04	14
0 4 0	1.904	47.77	16
3 2 -1	1.564	59.06	12
3 2 1	1.562	59.16	12
2 4 0	1.557	59.37	11